For VBiO4, DFT lattice parameters and positions (PBE+U) gives the computed PXRD pattern in this record (CuKα).
No peak broadening, texture or thermal motion is included.

Structure:
abc: 5.109 12.056 5.372
angles: 90.00 90.00 90.00
Space group Pbcn (No. 60)
Symmetry-distinct sites (fractional):
V (0.000, 0.106, 0.250) (multiplicity 4)
Bi (0.000, 0.384, 0.250) (multiplicity 4)
O (0.149, 0.194, 0.044) (multiplicity 8)
O (0.244, 0.466, 0.919) (multiplicity 8)

Peak list (6 most intense, 10° ≤ 2θ ≤ 80°, most intense first)
| hkl | two_theta | Rel. int. |
| --- | --- | --- |
| 1 1 1 | 25.2 | 100 |
| 1 3 1 | 32.9 | 75 |
| 0 2 1 | 22.2 | 43 |
| 1 1 0 | 18.9 | 36 |
| 0 4 0 | 29.6 | 26 |
| 0 4 2 | 45.2 | 25 |

---

For VBiO4, DFT lattice parameters and positions (PBE+U) gives the computed PXRD pattern in this record (CuKα).
No peak broadening, texture or thermal motion is included.

Structure:
abc: 4.790 4.801 5.339
angles: 65.07 65.11 76.08
Space group P1 (No. 1)
Symmetry-distinct sites (fractional):
V (0.000, 0.000, 0.000) (multiplicity 1)
Bi (0.597, 0.403, 0.500) (multiplicity 1)
O (0.368, 0.031, 0.962) (multiplicity 1)
O (0.718, 0.025, 0.340) (multiplicity 1)
O (0.970, 0.633, 0.038) (multiplicity 1)
O (0.977, 0.282, 0.660) (multiplicity 1)

Peak list (6 most intense, 10° ≤ 2θ ≤ 80°, most intense first)
| hkl | two_theta | Rel. int. |
| --- | --- | --- |
| 1 0 1 | 22.7 | 100 |
| 1 0 0 | 20.5 | 45 |
| 0 1 -1 | 33.5 | 33 |
| 0 2 1 | 39.0 | 29 |
| 1 1 0 | 28.0 | 22 |
| 0 0 1 | 19.7 | 18 |

---

For V2BiO2, DFT lattice parameters and positions (PBE+U) gives the computed PXRD pattern in this record (CuKα).
No peak broadening, texture or thermal motion is included.

Structure:
abc: 8.446 8.446 9.650
angles: 90.00 90.00 90.00
Space group I4_1/amd (No. 141, origin choice 2)
Symmetry-distinct sites (fractional):
V (0.000, 0.082, 0.126) (multiplicity 16)
Bi (0.000, 0.000, 0.500) (multiplicity 8)
O (0.000, 0.097, 0.738) (multiplicity 16)

Peak list (6 most intense, 10° ≤ 2θ ≤ 80°, most intense first)
| hkl | two_theta | Rel. int. |
| --- | --- | --- |
| 2 0 2 | 28.1 | 100 |
| 2 2 0 | 29.9 | 95 |
| 1 0 1 | 13.9 | 84 |
| 2 1 3 | 36.7 | 65 |
| 4 2 2 | 52.0 | 52 |
| 2 1 1 | 25.3 | 46 |

---

For VBiO3, DFT lattice parameters and positions (PBE+U) gives the computed PXRD pattern in this record (CuKα).
No peak broadening, texture or thermal motion is included.

Structure:
abc: 5.498 5.779 9.588
angles: 90.00 124.71 90.00
Space group P2_1/c (No. 14)
Symmetry-distinct sites (fractional):
V (0.000, 0.000, 0.000) (multiplicity 2)
V (0.500, 0.000, 0.500) (multiplicity 2)
Bi (0.237, 0.044, 0.748) (multiplicity 4)
O (0.139, 0.199, 0.452) (multiplicity 4)
O (0.259, 0.700, 0.451) (multiplicity 4)
O (0.352, 0.031, 0.252) (multiplicity 4)

Peak list (6 most intense, 10° ≤ 2θ ≤ 80°, most intense first)
| hkl | two_theta | Rel. int. |
| --- | --- | --- |
| 1 1 1 | 31.9 | 100 |
| 1 1 -3 | 32.0 | 99 |
| 1 1 -1 | 22.3 | 81 |
| 2 0 -2 | 32.6 | 49 |
| 0 2 0 | 30.9 | 46 |
| 0 0 2 | 22.6 | 44 |

---

For V2Bi4O11, DFT lattice parameters and positions (PBE+U) gives the computed PXRD pattern in this record (CuKα).
No peak broadening, texture or thermal motion is included.

Structure:
abc: 5.967 6.033 8.130
angles: 68.24 86.51 80.35
Space group P1 (No. 1)
Symmetry-distinct sites (fractional):
V (0.000, 0.000, 0.000) (multiplicity 1)
V (0.440, 0.563, 0.999) (multiplicity 1)
Bi (0.461, 0.823, 0.342) (multiplicity 1)
Bi (0.464, 0.163, 0.659) (multiplicity 1)
Bi (0.958, 0.654, 0.655) (multiplicity 1)
Bi (0.959, 0.310, 0.345) (multiplicity 1)
O (0.065, 0.032, 0.197) (multiplicity 1)
O (0.066, 0.229, 0.803) (multiplicity 1)
O (0.147, 0.710, 0.001) (multiplicity 1)
O (0.247, 0.552, 0.486) (multiplicity 1)
O (0.250, 0.039, 0.513) (multiplicity 1)
O (0.412, 0.297, 0.999) (multiplicity 1)
O (0.571, 0.726, 0.801) (multiplicity 1)
O (0.573, 0.526, 0.197) (multiplicity 1)
O (0.728, 0.978, 0.999) (multiplicity 1)
O (0.746, 0.533, 0.511) (multiplicity 1)
O (0.748, 0.043, 0.490) (multiplicity 1)

Peak list (6 most intense, 10° ≤ 2θ ≤ 80°, most intense first)
| hkl | two_theta | Rel. int. |
| --- | --- | --- |
| 1 1 2 | 26.3 | 100 |
| 1 -1 1 | 29.1 | 73 |
| 0 0 1 | 11.7 | 41 |
| 2 0 0 | 30.4 | 30 |
| 0 2 1 | 30.0 | 28 |
| 0 0 3 | 35.6 | 28 |

---

For V2Bi4O11, DFT lattice parameters and positions (PBE+U) gives the computed PXRD pattern in this record (CuKα).
No peak broadening, texture or thermal motion is included.

Structure:
abc: 5.670 5.803 8.183
angles: 70.51 87.46 88.20
Space group P1 (No. 1)
Symmetry-distinct sites (fractional):
V (0.000, 0.000, 0.000) (multiplicity 1)
V (0.437, 0.561, 0.022) (multiplicity 1)
Bi (0.484, 0.247, 0.682) (multiplicity 1)
Bi (0.498, 0.901, 0.337) (multiplicity 1)
Bi (0.951, 0.687, 0.660) (multiplicity 1)
Bi (0.992, 0.317, 0.364) (multiplicity 1)
O (0.139, 0.695, 0.015) (multiplicity 1)
O (0.198, 0.995, 0.517) (multiplicity 1)
O (0.205, 0.507, 0.515) (multiplicity 1)
O (0.255, 0.153, 0.979) (multiplicity 1)
O (0.429, 0.323, 0.223) (multiplicity 1)
O (0.524, 0.537, 0.819) (multiplicity 1)
O (0.633, 0.756, 0.049) (multiplicity 1)
O (0.714, 0.020, 0.515) (multiplicity 1)
O (0.719, 0.539, 0.498) (multiplicity 1)
O (0.870, 0.039, 0.188) (multiplicity 1)
O (0.871, 0.150, 0.804) (multiplicity 1)

Peak list (6 most intense, 10° ≤ 2θ ≤ 80°, most intense first)
| hkl | two_theta | Rel. int. |
| --- | --- | --- |
| 1 -1 1 | 27.7 | 100 |
| 0 0 1 | 11.5 | 97 |
| 1 1 2 | 27.6 | 92 |
| 1 1 -1 | 27.9 | 91 |
| -1 1 2 | 28.9 | 85 |
| 2 0 0 | 31.6 | 63 |

---

For VBiO4, DFT lattice parameters and positions (PBE+U) gives the computed PXRD pattern in this record (CuKα).
No peak broadening, texture or thermal motion is included.

Structure:
abc: 5.188 5.188 11.734
angles: 90.00 90.00 90.00
Space group I4_1/a (No. 88, origin choice 2)
Symmetry-distinct sites (fractional):
V (0.000, 0.250, 0.125) (multiplicity 4)
Bi (0.000, 0.250, 0.625) (multiplicity 4)
O (0.142, 0.499, 0.796) (multiplicity 16)

Peak list (6 most intense, 10° ≤ 2θ ≤ 80°, most intense first)
| hkl | two_theta | Rel. int. |
| --- | --- | --- |
| 1 1 2 | 28.7 | 100 |
| 1 0 1 | 18.7 | 43 |
| 3 1 2 | 58.4 | 31 |
| 2 0 4 | 46.7 | 30 |
| 2 0 0 | 34.6 | 22 |
| 1 2 1 | 39.6 | 19 |